Diffraction record for Tm2Sc2Co2S. The X-ray diffraction stick pattern is theoretical, not measured: it uses a cell relaxed with GGA-PBE and copper Kα.
Lines closer than 0.1° are merged.

Atomic structure:
```
Tm2Sc2Co2S
1.0
6.1325 -1.8256 0.0000
6.1325 1.8256 0.0000
-4.0684 0.0000 6.5620
Tm Sc Co S
2 2 2 1
direct
0.0424 0.0424 0.2680 Tm
0.9576 0.9576 0.7320 Tm
0.2770 0.2770 0.1771 Sc
0.7230 0.7230 0.8229 Sc
0.3923 0.3923 0.9402 Co
0.6077 0.6077 0.0598 Co
0.5000 0.5000 0.5000 S
```

Most intense lines, 2θ = 5–70°, by angle:
5.212 Å, I = 76
3.446 Å, I = 25
3.318 Å, I = 26
3.281 Å, I = 24
2.853 Å, I = 29
2.614 Å, I = 67
2.515 Å, I = 100
2.193 Å, I = 39
2.076 Å, I = 24
1.995 Å, I = 43